[1]
Diffraction record for SrMg6AlO8. The powder X-ray diffraction pattern is calculated, not measured: it uses a structure optimized by DFT (GGA-PBE) and λ = 1.5418 Å (Cu Kα).
Lines closer than 0.1° are merged.

Principal peaks in the range 2θ from 10° to 90°, low angle first:
- hkl 0 0 1, 10.31 deg, I = 156
- hkl 1 0 0, 19.38 deg, I = 157
- hkl 1 1 2, 34.71 deg, I = 345
- hkl 2 0 0, 39.35 deg, I = 1000
- hkl 0 0 4, 42.13 deg, I = 416
- hkl 2 2 0, 56.86 deg, I = 300
- hkl 2 0 4, 59.00 deg, I = 493
- hkl 2 2 4, 73.25 deg, I = 254

Structural model:
```
SrMg6AlO8
1.0
4.580 0.000 0.000
0.000 4.580 0.000
0.000 0.000 8.580
Sr Mg Al O
1 6 1 8
Direct
0.000 0.000 0.000
0.000 0.500 0.259
0.000 0.500 0.741
0.500 0.000 0.259
0.500 0.000 0.741
0.500 0.500 0.000
0.500 0.500 0.500
0.000 0.000 0.500
0.000 0.000 0.286
0.000 0.000 0.714
0.000 0.500 0.000
0.000 0.500 0.500
0.500 0.000 0.000
0.500 0.000 0.500
0.500 0.500 0.250
0.500 0.500 0.750
```

[2]
Diffraction record for Th3In. The powder X-ray diffraction pattern is calculated, not measured: it uses a structure optimized by DFT (GGA-PBE) and λ = 1.5418 Å (Cu Kα).
Lines closer than 0.1° are merged.

Principal peaks in the range 2θ from 10° to 90°, low angle first:
- hkl 1 1 1, 31.23 deg, I = 1000
- hkl 2 0 0, 36.22 deg, I = 508
- hkl 2 2 0, 52.15 deg, I = 365
- hkl 3 1 1, 62.05 deg, I = 436
- hkl 2 2 2, 65.14 deg, I = 126
- hkl 4 0 0, 76.87 deg, I = 59
- hkl 3 3 1, 85.28 deg, I = 186
- hkl 4 2 0, 88.05 deg, I = 175

Structural model:
```
Th3In
1.0
4.961 0.000 0.000
0.000 4.961 0.000
0.000 0.000 4.961
Th In
3 1
Direct
0.000 0.000 0.500
0.000 0.500 0.000
0.500 0.000 0.000
0.500 0.500 0.500
```

[3]
Diffraction record for KNb4O5F. The powder X-ray diffraction pattern is calculated, not measured: it uses a structure optimized by DFT (GGA-PBE) and λ = 1.5418 Å (Cu Kα).
Lines closer than 0.1° are merged.

Principal peaks in the range 2θ from 10° to 90°, low angle first:
- hkl 0 0 1, 10.36 deg, I = 1000
- hkl 1 0 0, 21.11 deg, I = 350
- hkl 1 0 2, 29.81 deg, I = 645
- hkl 1 1 1, 31.84 deg, I = 506
- hkl 1 1 2, 36.81 deg, I = 396
- hkl 2 0 0, 42.98 deg, I = 607
- hkl 1 1 3, 44.02 deg, I = 332
- hkl 2 0 4, 61.91 deg, I = 358

Structural model:
```
KNb4O5F
1.0
4.209 0.000 0.000
0.000 4.209 0.000
0.000 0.000 8.540
K Nb O F
1 4 5 1
Direct
0.000 0.000 0.000
0.000 0.500 0.500
0.500 0.000 0.500
0.500 0.500 0.264
0.500 0.500 0.736
0.000 0.000 0.500
0.000 0.500 0.251
0.000 0.500 0.749
0.500 0.000 0.251
0.500 0.000 0.749
0.500 0.500 0.000
```

Copy entry 3 word for word.
Diffraction record for KNb4O5F. The powder X-ray diffraction pattern is calculated, not measured: it uses a structure optimized by DFT (GGA-PBE) and λ = 1.5418 Å (Cu Kα).
Lines closer than 0.1° are merged.

Principal peaks in the range 2θ from 10° to 90°, low angle first:
- hkl 0 0 1, 10.36 deg, I = 1000
- hkl 1 0 0, 21.11 deg, I = 350
- hkl 1 0 2, 29.81 deg, I = 645
- hkl 1 1 1, 31.84 deg, I = 506
- hkl 1 1 2, 36.81 deg, I = 396
- hkl 2 0 0, 42.98 deg, I = 607
- hkl 1 1 3, 44.02 deg, I = 332
- hkl 2 0 4, 61.91 deg, I = 358

Structural model:
```
KNb4O5F
1.0
4.209 0.000 0.000
0.000 4.209 0.000
0.000 0.000 8.540
K Nb O F
1 4 5 1
Direct
0.000 0.000 0.000
0.000 0.500 0.500
0.500 0.000 0.500
0.500 0.500 0.264
0.500 0.500 0.736
0.000 0.000 0.500
0.000 0.500 0.251
0.000 0.500 0.749
0.500 0.000 0.251
0.500 0.000 0.749
0.500 0.500 0.000
```

Repeat the first record exactly.
Diffraction record for SrMg6AlO8. The powder X-ray diffraction pattern is calculated, not measured: it uses a structure optimized by DFT (GGA-PBE) and λ = 1.5418 Å (Cu Kα).
Lines closer than 0.1° are merged.

Principal peaks in the range 2θ from 10° to 90°, low angle first:
- hkl 0 0 1, 10.31 deg, I = 156
- hkl 1 0 0, 19.38 deg, I = 157
- hkl 1 1 2, 34.71 deg, I = 345
- hkl 2 0 0, 39.35 deg, I = 1000
- hkl 0 0 4, 42.13 deg, I = 416
- hkl 2 2 0, 56.86 deg, I = 300
- hkl 2 0 4, 59.00 deg, I = 493
- hkl 2 2 4, 73.25 deg, I = 254

Structural model:
```
SrMg6AlO8
1.0
4.580 0.000 0.000
0.000 4.580 0.000
0.000 0.000 8.580
Sr Mg Al O
1 6 1 8
Direct
0.000 0.000 0.000
0.000 0.500 0.259
0.000 0.500 0.741
0.500 0.000 0.259
0.500 0.000 0.741
0.500 0.500 0.000
0.500 0.500 0.500
0.000 0.000 0.500
0.000 0.000 0.286
0.000 0.000 0.714
0.000 0.500 0.000
0.000 0.500 0.500
0.500 0.000 0.000
0.500 0.000 0.500
0.500 0.500 0.250
0.500 0.500 0.750
```